1.
Diffraction record for AlO3. The powder XRD pattern is simulated, not measured: it uses a structure optimized by DFT (GGA-PBE) and Cu Kα (weighted mean of Kα1 and Kα2).
No peak broadening, texture or thermal motion is included.

Crystal structure
a = 8.9379 Å, b = 5.4302 Å, c = 12.1598 Å
α = 90.00°, β = 130.26°, γ = 90.00°
Sites, in units of the cell vectors:
Al1 0.1669 0.0094 0.1674
Al2 0.1669 0.4906 0.6674
Al3 0.3322 0.5085 0.3327
Al4 0.3322 0.9915 0.8327
Al5 0.6678 0.0085 0.1673
Al6 0.6678 0.4915 0.6673
Al7 0.8331 0.5094 0.3326
Al8 0.8331 0.9906 0.8326
O1 0.0857 0.1087 0.9876
O2 0.0857 0.3913 0.4876
O3 0.1063 0.1856 0.7037
O4 0.1063 0.3144 0.2037
O5 0.2177 0.6875 0.8160
O6 0.2177 0.8125 0.3160
O7 0.2849 0.7071 0.1861
O8 0.2849 0.7929 0.6861
O9 0.3920 0.2060 0.2934
O10 0.3920 0.2940 0.7934
O11 0.4114 0.1105 0.0087
O12 0.4114 0.3895 0.5087
O13 0.5886 0.6105 0.4913
O14 0.5886 0.8895 0.9913
O15 0.6080 0.7060 0.2066
O16 0.6080 0.7940 0.7066
O17 0.7151 0.2071 0.3139
O18 0.7151 0.2929 0.8139
O19 0.7823 0.1875 0.6840
O20 0.7823 0.3125 0.1840
O21 0.8937 0.6856 0.7963
O22 0.8937 0.8144 0.2963
O23 0.9143 0.6087 0.5124
O24 0.9143 0.8913 0.0124

Most intense lines, 2θ = 15–90°, low angle first:
2θ/deg  intensity
18.93  61
19.13  30
20.00  100
26.84  14
34.55  11
35.87  15
43.13  15
45.33  11
50.64  12
53.31  11
56.35  10
59.14  13

2.
Diffraction record for AlO3. The powder XRD pattern is simulated, not measured: it uses a structure optimized by DFT (GGA-PBE) and Cu Kα (weighted mean of Kα1 and Kα2).
No peak broadening, texture or thermal motion is included.

Crystal structure
a = 5.3151 Å, b = 5.3151 Å, c = 5.3151 Å
α = 58.05°, β = 58.05°, γ = 58.05°
Sites, in units of the cell vectors:
Al1 0.0000 0.0000 0.0000
Al2 0.5000 0.5000 0.5000
O1 0.2218 0.7500 0.2782
O2 0.2500 0.7218 0.7782
O3 0.2782 0.2218 0.7500
O4 0.7218 0.7782 0.2500
O5 0.7500 0.2782 0.2218
O6 0.7782 0.2500 0.7218

Most intense lines, 2θ = 15–90°, low angle first:
2θ/deg  intensity
24.05  100
33.76  2
40.54  3
42.74  3
49.25  33
54.83  18
56.24  14
71.00  9
73.43  7
74.99  3
77.37  5
78.56  5

3.
Diffraction record for Al2O. The powder XRD pattern is simulated, not measured: it uses a structure optimized by DFT (GGA-PBE) and Cu Kα (weighted mean of Kα1 and Kα2).
No peak broadening, texture or thermal motion is included.

Crystal structure
a = 5.5890 Å, b = 5.6060 Å, c = 50.1745 Å
α = 89.65°, β = 89.09°, γ = 61.22°
Sites, in units of the cell vectors:
Al1 0.0000 0.0000 0.0000
Al2 0.0000 0.5000 0.0000
Al3 0.0025 0.4743 0.1381
Al4 0.0107 0.9635 0.1459
Al5 0.1031 0.5365 0.3348
Al6 0.1195 0.2052 0.1986
Al7 0.1512 0.7048 0.2296
Al8 0.1667 0.1667 0.0476
Al9 0.1667 0.6667 0.0476
Al10 0.1744 0.1666 0.9060
Al11 0.1745 0.6666 0.9058
Al12 0.2453 0.0873 0.3822
Al13 0.3271 0.8326 0.0938
Al14 0.3326 0.3232 0.0932
Al15 0.3371 0.3335 0.9535
Al16 0.3381 0.8309 0.9534
Al17 0.4526 0.5913 0.2867
Al18 0.4981 0.4816 0.1377
Al19 0.5000 0.0000 0.0000
Al20 0.5000 0.5000 0.0000
Al21 0.5032 0.9707 0.1438
Al22 0.5147 0.5025 0.3913
Al23 0.5474 0.0657 0.3212
Al24 0.5949 0.2854 0.1861
Al25 0.6087 0.7939 0.2138
Al26 0.6667 0.1667 0.0476
Al27 0.6667 0.6667 0.0476
Al28 0.6742 0.1668 0.9061
Al29 0.6746 0.6667 0.9058
Al30 0.8293 0.8305 0.0943
Al31 0.8345 0.3212 0.0934
Al32 0.8347 0.9082 0.3807
Al33 0.8370 0.3331 0.9535
Al34 0.8378 0.8319 0.9533
Al35 0.8708 0.7076 0.2736
Al36 0.9980 0.1874 0.2899
O1 0.2060 0.7633 0.3763
O2 0.2226 0.5835 0.2637
O3 0.2653 0.1925 0.3475
O4 0.2667 0.9455 0.2266
O5 0.2676 0.4336 0.2070
O6 0.3540 0.3017 0.3988
O7 0.3603 0.9455 0.2949
O8 0.4260 0.4419 0.3171
O9 0.4944 0.0004 0.1842
O10 0.6120 0.7780 0.3924
O11 0.7574 0.4513 0.2056
O12 0.7595 0.4515 0.2663
O13 0.7985 0.8514 0.2381
O14 0.8128 0.8534 0.3446
O15 0.8163 0.9996 0.2939
O16 0.8535 0.2200 0.3870
O17 0.9393 0.4901 0.3066
O18 0.9664 0.0135 0.1831

Most intense lines, 2θ = 15–90°, low angle first:
2θ/deg  intensity
17.68  43
35.79  40
37.66  91
38.17  46
38.46  71
38.75  100
39.04  74
39.33  78
39.92  32
44.55  52
46.75  32
67.02  37

4.
Diffraction record for AlO3. The powder XRD pattern is simulated, not measured: it uses a structure optimized by DFT (GGA-PBE) and Cu Kα (weighted mean of Kα1 and Kα2).
No peak broadening, texture or thermal motion is included.

Crystal structure
a = 5.4049 Å, b = 5.4049 Å, c = 8.8775 Å
α = 95.62°, β = 95.62°, γ = 60.45°
Sites, in units of the cell vectors:
Al1 0.1672 0.1682 0.5001
Al2 0.1682 0.1672 0.0001
Al3 0.8318 0.8328 0.9999
Al4 0.8328 0.8318 0.4999
O1 0.0993 0.4912 0.4015
O2 0.0998 0.8795 0.9017
O3 0.1177 0.5124 0.0990
O4 0.1205 0.9002 0.5983
O5 0.4876 0.8823 0.4010
O6 0.4912 0.0993 0.9015
O7 0.5088 0.9007 0.0985
O8 0.5124 0.1177 0.5990
O9 0.8795 0.0998 0.4017
O10 0.8823 0.4876 0.9010
O11 0.9002 0.1205 0.0983
O12 0.9007 0.5088 0.5985

Most intense lines, 2θ = 15–90°, low angle first:
2θ/deg  intensity
18.91  63
19.13  31
20.13  100
26.93  14
34.50  11
35.86  16
43.30  16
45.42  12
50.90  12
53.49  12
56.52  11
59.05  18

5.
Diffraction record for Al8O3. The powder XRD pattern is simulated, not measured: it uses a structure optimized by DFT (GGA-PBE) and Cu Kα (weighted mean of Kα1 and Kα2).
No peak broadening, texture or thermal motion is included.

Crystal structure
a = 5.6982 Å, b = 5.7302 Å, c = 49.6451 Å
α = 91.56°, β = 90.46°, γ = 119.72°
Sites, in units of the cell vectors:
Al1 0.0000 0.0000 0.0000
Al2 0.9996 0.4918 0.8584
Al3 0.0003 0.5006 0.9996
Al4 0.9996 0.9918 0.8584
Al5 0.0378 0.0924 0.6909
Al6 0.0596 0.5956 0.7186
Al7 0.1591 0.2939 0.7613
Al8 0.1662 0.3251 0.9060
Al9 0.1662 0.8251 0.9060
Al10 0.1707 0.8120 0.7676
Al11 0.2320 0.9723 0.6198
Al12 0.2598 0.5344 0.6046
Al13 0.3314 0.1594 0.9525
Al14 0.3329 0.6466 0.8120
Al15 0.3332 0.6627 0.9524
Al16 0.3353 0.1564 0.8122
Al17 0.4958 0.0078 0.6767
Al18 0.4999 0.9999 0.9999
Al19 0.4996 0.4918 0.8584
Al20 0.5004 0.5008 0.9997
Al21 0.4996 0.9918 0.8584
Al22 0.5329 0.5158 0.7066
Al23 0.6556 0.2965 0.7602
Al24 0.6612 0.8037 0.7671
Al25 0.6662 0.3251 0.9060
Al26 0.6662 0.8251 0.9060
Al27 0.7531 0.0005 0.6304
Al28 0.7670 0.5549 0.6079
Al29 0.8305 0.6439 0.8116
Al30 0.8313 0.1597 0.9525
Al31 0.8334 0.6627 0.9525
Al32 0.8349 0.1544 0.8117
O1 0.1126 0.7350 0.5921
O2 0.1556 0.3148 0.7205
O3 0.3741 0.2356 0.6787
O4 0.3846 0.7376 0.6981
O5 0.3979 0.3082 0.6119
O6 0.4097 0.8663 0.6409
O7 0.6107 0.7627 0.5981
O8 0.6889 0.3358 0.7228
O9 0.8375 0.1497 0.6680
O10 0.8936 0.7540 0.6986
O11 0.9046 0.3151 0.6143
O12 0.9216 0.8166 0.6362

Most intense lines, 2θ = 15–90°, low angle first:
2θ/deg  intensity
17.88  48
23.31  42
36.22  60
37.70  91
37.89  86
38.12  100
38.24  82
38.45  69
38.81  57
39.54  71
39.98  47
65.55  67

6.
Diffraction record for AlO3. The powder XRD pattern is simulated, not measured: it uses a structure optimized by DFT (GGA-PBE) and Cu Kα (weighted mean of Kα1 and Kα2).
No peak broadening, texture or thermal motion is included.

Crystal structure
a = 4.9922 Å, b = 5.5305 Å, c = 5.5321 Å
α = 114.95°, β = 115.89°, γ = 94.22°
Sites, in units of the cell vectors:
Al1 0.1121 0.3058 0.1120
Al2 0.8879 0.6942 0.8880
O1 0.0135 0.3782 0.7970
O2 0.2100 0.9756 0.0022
O3 0.4297 0.4516 0.5639
O4 0.5703 0.5484 0.4361
O5 0.7900 0.0244 0.9978
O6 0.9865 0.6218 0.2030

Most intense lines, 2θ = 15–90°, low angle first:
2θ/deg  intensity
18.65  26
19.63  30
20.41  100
20.69  32
20.85  30
24.96  15
36.17  12
37.01  18
42.24  15
50.00  9
51.07  16
52.30  10

7.
Diffraction record for AlO3. The powder XRD pattern is simulated, not measured: it uses a structure optimized by DFT (GGA-PBE) and Cu Kα (weighted mean of Kα1 and Kα2).
No peak broadening, texture or thermal motion is included.

Crystal structure
a = 5.4870 Å, b = 6.0997 Å, c = 6.9554 Å
α = 89.73°, β = 85.64°, γ = 80.86°
Sites, in units of the cell vectors:
Al1 0.0047 0.3282 0.1677
Al2 0.4794 0.8344 0.6711
Al3 0.5206 0.1656 0.3289
Al4 0.9953 0.6718 0.8323
O1 0.1378 0.3892 0.9205
O2 0.2092 0.7006 0.6135
O3 0.2456 0.0795 0.2218
O4 0.2607 0.8138 0.8880
O5 0.2848 0.4131 0.2672
O6 0.3580 0.1164 0.5697
O7 0.6420 0.8836 0.4303
O8 0.7152 0.5869 0.7328
O9 0.7393 0.1862 0.1120
O10 0.7544 0.9205 0.7782
O11 0.7908 0.2994 0.3865
O12 0.8622 0.6108 0.0795

Most intense lines, 2θ = 15–90°, low angle first:
2θ/deg  intensity
19.45  26
19.60  100
20.05  22
20.27  19
21.61  14
23.81  12
33.85  8
35.70  13
38.19  19
43.75  20
47.84  17
50.99  13

8.
Diffraction record for Al2O. The powder XRD pattern is simulated, not measured: it uses a structure optimized by DFT (GGA-PBE) and Cu Kα (weighted mean of Kα1 and Kα2).
No peak broadening, texture or thermal motion is included.

Crystal structure
a = 5.6290 Å, b = 5.6558 Å, c = 49.7817 Å
α = 89.46°, β = 88.33°, γ = 60.73°
Sites, in units of the cell vectors:
Al1 0.0000 0.0000 0.0000
Al2 0.0001 0.4974 0.0001
Al3 0.0026 0.5003 0.8113
Al4 0.1444 0.6680 0.0926
Al5 0.1497 0.1629 0.0930
Al6 0.1746 0.6285 0.6593
Al7 0.1799 0.1641 0.9530
Al8 0.1797 0.6640 0.9553
Al9 0.2294 0.2932 0.7019
Al10 0.2608 0.8242 0.7201
Al11 0.2899 0.4615 0.7657
Al12 0.3253 0.3315 0.0468
Al13 0.3252 0.8316 0.0467
Al14 0.3512 0.3431 0.9082
Al15 0.3605 0.8197 0.9071
Al16 0.4497 0.5647 0.8293
Al17 0.4670 0.4981 0.1399
Al18 0.4683 0.9963 0.1407
Al19 0.4849 0.0095 0.8474
Al20 0.4993 0.0029 0.9996
Al21 0.5043 0.4999 0.0001
Al22 0.5487 0.8065 0.6607
Al23 0.6458 0.1629 0.0931
Al24 0.6463 0.6658 0.0929
Al25 0.6765 0.6706 0.9533
Al26 0.6793 0.1640 0.9530
Al27 0.6865 0.9510 0.7470
Al28 0.8214 0.3577 0.7529
Al29 0.8231 0.8335 0.0463
Al30 0.8252 0.3310 0.0476
Al31 0.8574 0.3338 0.9080
Al32 0.8635 0.8269 0.9079
Al33 0.9070 0.1768 0.6538
Al34 0.9566 0.1424 0.8597
Al35 0.9673 0.9976 0.1400
Al36 0.9676 0.4973 0.1396
O1 0.0026 0.2000 0.7224
O2 0.0334 0.3704 0.7777
O3 0.0531 0.7590 0.7465
O4 0.0882 0.3573 0.6659
O5 0.1479 0.2758 0.8380
O6 0.1939 0.6312 0.6959
O7 0.2306 0.9030 0.6437
O8 0.2471 0.6010 0.8013
O9 0.2527 0.8190 0.8529
O10 0.4273 0.2546 0.7319
O11 0.4460 0.9247 0.6945
O12 0.5388 0.9805 0.8836
O13 0.5621 0.7066 0.7454
O14 0.5829 0.4648 0.6553
O15 0.6530 0.2066 0.7720
O16 0.6557 0.2193 0.8399
O17 0.6682 0.7189 0.8233
O18 0.8073 0.8972 0.6528

Most intense lines, 2θ = 15–90°, low angle first:
2θ/deg  intensity
17.83  39
36.10  42
37.96  78
38.12  31
38.47  47
38.70  39
38.80  66
39.07  34
39.39  100
39.81  43
45.73  45
65.48  33

9.
Diffraction record for AlO3. The powder XRD pattern is simulated, not measured: it uses a structure optimized by DFT (GGA-PBE) and Cu Kα (weighted mean of Kα1 and Kα2).
No peak broadening, texture or thermal motion is included.

Crystal structure
a = 5.3790 Å, b = 5.3790 Å, c = 5.3790 Å
α = 56.75°, β = 56.75°, γ = 56.75°
Sites, in units of the cell vectors:
Al1 0.0000 0.0000 0.0000
Al2 0.5000 0.5000 0.5000
O1 0.2370 0.7500 0.2630
O2 0.2500 0.7370 0.7630
O3 0.2630 0.2370 0.7500
O4 0.7370 0.7630 0.2500
O5 0.7500 0.2630 0.2370
O6 0.7630 0.2500 0.7370

Most intense lines, 2θ = 15–90°, low angle first:
2θ/deg  intensity
24.04  100
33.40  2
35.11  2
43.00  4
49.24  34
54.34  17
56.67  14
70.16  9
73.37  3
74.20  7
77.34  5
79.31  5

What is the formula in the fourth record? AlO3